1.
The following is a calculated XRD peak list of Tb4GaTe2. It was derived from the GGA-PBE geometry in Alexandria, using Cu Kα X-rays.

The 12 most intense peaks (10° ≤ 2θ ≤ 90°), sorted by position:
- 2θ = 28.14°, d 3.171, I 100
- 2θ = 28.49°, d 3.133, I 48
- 2θ = 29.18°, d 3.060, I 70
- 2θ = 31.18°, d 2.868, I 89
- 2θ = 38.57°, d 2.334, I 60
- 2θ = 40.78°, d 2.212, I 30
- 2θ = 42.53°, d 2.126, I 42
- 2θ = 43.29°, d 2.090, I 28
- 2θ = 43.44°, d 2.083, I 31
- 2θ = 44.15°, d 2.051, I 23
- 2θ = 51.78°, d 1.766, I 37
- 2θ = 62.42°, d 1.488, I 21

Unit cell a=7.2711 b=7.2711 c=14.2544 alpha=90.00 beta=90.00 gamma=146.00
Fractional positions:
Tb 0.0000 0.0000 0.0000
Tb 0.0000 0.0000 0.5000
Tb 0.2886 0.7114 0.6317
Tb 0.2886 0.7114 0.8683
Tb 0.4690 0.5310 0.2500
Tb 0.5310 0.4690 0.7500
Tb 0.7114 0.2886 0.1317
Tb 0.7114 0.2886 0.3683
Ga 0.1126 0.8874 0.2500
Ga 0.8874 0.1126 0.7500
Te 0.3583 0.6417 0.0681
Te 0.3583 0.6417 0.4319
Te 0.6417 0.3583 0.5681
Te 0.6417 0.3583 0.9319


2.
The following is a calculated XRD peak list of TbLuO. It was derived from the GGA-PBE geometry in Alexandria, using Cu Kα X-rays.

The 12 most intense peaks (10° ≤ 2θ ≤ 90°), sorted by position:
- 2θ = 29.71°, d 3.007, I 19
- 2θ = 31.37°, d 2.852, I 24
- 2θ = 33.69°, d 2.660, I 100
- 2θ = 43.75°, d 2.069, I 20
- 2θ = 52.72°, d 1.736, I 21
- 2θ = 57.34°, d 1.607, I 22
- 2θ = 62.65°, d 1.483, I 20
- 2θ = 64.05°, d 1.454, I 16
- 2θ = 70.85°, d 1.330, I 5
- 2θ = 81.64°, d 1.179, I 8
- 2θ = 87.52°, d 1.115, I 14
- 2θ = 88.80°, d 1.102, I 9

Unit cell a=3.4723 b=3.4723 c=5.7033 alpha=90.00 beta=90.00 gamma=120.00
Fractional positions:
Tb 0.0000 0.0000 0.0000
Lu 0.3333 0.6667 0.4754
O 0.6667 0.3333 0.2608